This entry pairs a crystal structure of Pm4YEr2 with its computed powder XRD pattern. Radiation: a wavelength of 1.5418 Å. Structure: a DFT-relaxed cell (GGA-PBE, Alexandria).
No peak broadening, texture or thermal motion is included.

Most intense lines, 10° ≤ 2θ ≤ 90°, low angle first:
(hkl)  two_theta  I/Imax
0 2 2  28.61  131
1 7 1  30.25  1000
4 2 0  30.86  362
2 0 2  31.52  612
3 5 1  32.25  379
2 2 2  32.40  285
3 7 1  37.15  243
5 5 1  44.59  108
1 7 3  50.55  197
2 14 0  55.28  155
0 0 4  57.06  123
0 14 2  60.75  143

abc: 11.9357 24.2207 6.4521
angles: 90.00 90.00 90.00
Space group Fdd2 (No. 43)
Unique sites:
Pm  0.0529  0.0706  0.0000
Pm  0.0692  0.1436  0.5298
Y  0.0000  0.0000  0.4936
Er  0.0252  0.2157  0.0572

This entry pairs a crystal structure of Ca8SnIr2 with its computed powder XRD pattern. Radiation: a wavelength of 1.5418 Å. Structure: a DFT-relaxed cell (GGA-PBE, Alexandria).
No peak broadening, texture or thermal motion is included.

Most intense lines, 10° ≤ 2θ ≤ 90°, low angle first:
(hkl)  two_theta  I/Imax
1 0 -1  14.94  1000
1 -1 0  16.02  529
1 -1 1  20.68  791
0 1 1  22.80  497
1 1 0  23.39  610
1 2 -2  29.99  536
2 -2 0  32.35  462
-2 1 2  33.86  555
0 1 2  34.99  553
2 1 -3  37.42  517
1 -3 0  37.83  437
0 3 -3  40.71  447

abc: 6.7111 7.7615 8.2244
angles: 113.12 108.50 101.03
Space group P1 (No. 1)
Unique sites:
Ca  0.0000  0.0000  0.0000
Ca  0.0122  0.4776  0.7828
Ca  0.2514  0.5396  0.2795
Ca  0.3395  0.2217  0.5439
Ca  0.3999  0.8962  0.7822
Ca  0.6296  0.5919  0.0001
Ca  0.6585  0.3304  0.2791
Ca  0.8345  0.9138  0.5435
Sn  0.4105  0.8917  0.1926
Ir  0.2623  0.2430  0.8943
Ir  0.6386  0.6191  0.6466

This entry pairs a crystal structure of AcPm2Zn6 with its computed powder XRD pattern. Radiation: a wavelength of 1.5418 Å. Structure: a DFT-relaxed cell (GGA-PBE, Alexandria).
No peak broadening, texture or thermal motion is included.

Most intense lines, 10° ≤ 2θ ≤ 90°, low angle first:
(hkl)  two_theta  I/Imax
1 1 0  22.27  223
1 1 1  32.95  1000
3 0 0  39.08  524
2 2 0  45.44  36
0 0 2  49.07  91
2 2 1  52.02  273
1 1 2  54.51  43
3 0 2  64.45  234
4 1 1  66.94  253
3 3 0  70.81  87
1 1 3  81.41  74
6 0 0  83.98  55

abc: 7.9840 7.9840 3.7129
angles: 90.00 90.00 120.00
Space group P6/mmm (No. 191)
Unique sites:
Ac  0.0000  0.0000  0.0000
Pm  0.3333  0.6667  0.0000
Zn  0.0000  0.3402  0.5000

This entry pairs a crystal structure of ScAlRu with its computed powder XRD pattern. Radiation: a wavelength of 1.5418 Å. Structure: a DFT-relaxed cell (GGA-PBE, Alexandria).
No peak broadening, texture or thermal motion is included.

Most intense lines, 10° ≤ 2θ ≤ 90°, low angle first:
(hkl)  two_theta  I/Imax
0 2 0  16.52  600
1 1 1  30.08  237
1 3 1  38.48  1000
2 0 0  40.41  239
0 0 2  42.16  211
2 2 0  43.93  97
1 5 1  51.86  220
2 0 2  59.82  144
2 6 0  67.08  93
3 3 1  72.20  146
1 3 3  74.61  132
2 8 0  84.24  91

abc: 4.4644 10.7305 4.2868
angles: 90.00 90.00 90.00
Space group Cmmm (No. 65)
Unique sites:
Sc  0.0000  0.1475  0.0000
Al  0.0000  0.3678  0.5000
Ru  0.0000  0.0000  0.5000
Ru  0.0000  0.5000  0.0000

This entry pairs a crystal structure of K2MgRe with its computed powder XRD pattern. Radiation: a wavelength of 1.5418 Å. Structure: a DFT-relaxed cell (GGA-PBE, Alexandria).
No peak broadening, texture or thermal motion is included.

Most intense lines, 10° ≤ 2θ ≤ 90°, low angle first:
(hkl)  two_theta  I/Imax
0 0 2  14.30  726
0 0 3  21.51  239
0 0 4  28.82  222
1 1 0  30.63  231
1 1 1  31.49  295
1 1 2  33.95  1000
0 0 5  36.25  178
1 1 3  37.74  498
0 2 0  39.65  195
1 1 4  42.56  220
1 1 5  48.17  181
1 1 7  61.24  151

abc: 3.8059 4.5468 12.3917
angles: 90.00 90.00 90.00
Space group Cmm2 (No. 35)
Unique sites:
K  0.0000  0.0000  0.0000
K  0.0000  0.5000  0.3422
Mg  0.0000  0.5000  0.7296
Re  0.0000  0.0000  0.5659

This entry pairs a crystal structure of CdH3SI3 with its computed powder XRD pattern. Radiation: a wavelength of 1.5418 Å. Structure: a DFT-relaxed cell (GGA-PBE, Alexandria).
No peak broadening, texture or thermal motion is included.

Most intense lines, 10° ≤ 2θ ≤ 90°, low angle first:
(hkl)  two_theta  I/Imax
0 0 1  11.57  525
0 1 0  11.92  516
0 1 -1  13.24  491
1 0 0  19.15  218
0 0 2  23.29  1000
1 -1 1  23.39  591
0 2 0  23.97  613
1 -1 2  29.96  212
1 -3 1  38.06  235
2 0 0  38.85  251
1 -1 3  39.29  224
0 2 2  39.52  214

abc: 4.6586 7.9870 8.2322
angles: 111.11 93.57 93.12
Space group P1 (No. 1)
Unique sites:
Cd  0.0000  0.0000  0.0000
H  0.2197  0.6203  0.6129
H  0.3071  0.3933  0.4230
H  0.6292  0.5761  0.5995
S  0.4066  0.5811  0.4771
I  0.0513  0.1216  0.3632
I  0.4964  0.1191  0.8644
I  0.9549  0.6174  0.8488

This entry pairs a crystal structure of LiTl3 with its computed powder XRD pattern. Radiation: a wavelength of 1.5418 Å. Structure: a DFT-relaxed cell (GGA-PBE, Alexandria).
No peak broadening, texture or thermal motion is included.

Most intense lines, 10° ≤ 2θ ≤ 90°, low angle first:
(hkl)  two_theta  I/Imax
0 0 1  15.21  175
0 1 0  17.26  168
0 1 1  23.08  215
1 0 1  28.96  295
1 1 1  33.91  1000
0 2 0  34.92  293
0 1 2  35.42  413
1 2 1  45.98  170
1 0 3  53.50  199
1 3 1  61.97  181
2 1 2  62.95  240
1 2 3  65.49  188

abc: 3.6337 5.1391 5.8261
angles: 90.00 90.00 90.00
Space group Pmm2 (No. 25)
Unique sites:
Li  0.0000  0.0000  0.0000
Tl  0.0000  0.5000  0.3359
Tl  0.5000  0.0000  0.5064
Tl  0.5000  0.5000  0.8571

This entry pairs a crystal structure of Ba8Rh3Se with its computed powder XRD pattern. Radiation: a wavelength of 1.5418 Å. Structure: a DFT-relaxed cell (GGA-PBE, Alexandria).
No peak broadening, texture or thermal motion is included.

Most intense lines, 10° ≤ 2θ ≤ 90°, low angle first:
(hkl)  two_theta  I/Imax
2 0 -1  12.05  374
2 0 1  22.41  96
2 2 0  23.49  297
4 0 0  27.41  1000
4 2 -3  36.21  149
2 2 2  38.66  403
6 2 -2  39.63  329
0 2 3  40.64  110
4 4 0  48.04  204
6 0 -5  50.91  87
8 0 0  56.56  112
6 2 2  63.30  194

abc: 15.6276 9.3166 9.1103
angles: 90.00 123.69 90.00
Space group C2/m (No. 12)
Unique sites:
Ba  0.0135  0.2386  0.2473
Ba  0.2447  0.0000  0.2561
Ba  0.2479  0.5000  0.2756
Rh  0.0000  0.0000  0.0000
Rh  0.2500  0.2500  0.5000
Se  0.0000  0.5000  0.0000

This entry pairs a crystal structure of BaHg2Pd6 with its computed powder XRD pattern. Radiation: a wavelength of 1.5418 Å. Structure: a DFT-relaxed cell (GGA-PBE, Alexandria).
No peak broadening, texture or thermal motion is included.

Most intense lines, 10° ≤ 2θ ≤ 90°, low angle first:
(hkl)  two_theta  I/Imax
3 1 1  24.65  500
2 2 2  25.77  298
4 0 0  29.84  139
3 3 1  32.59  79
5 1 1  39.08  279
4 4 0  42.70  1000
6 2 2  50.55  148
5 5 3  59.26  122
8 0 0  61.98  160
5 5 5  67.75  87
8 4 4  78.20  320
9 5 1  83.49  89

abc: 11.9773 11.9773 11.9773
angles: 90.00 90.00 90.00
Space group Fd-3m (No. 227, origin choice 2)
Unique sites:
Ba  0.1250  0.1250  0.1250
Hg  0.0000  0.0000  0.5000
Pd  0.1141  0.3750  0.3750

This entry pairs a crystal structure of MnFe14Os with its computed powder XRD pattern. Radiation: a wavelength of 1.5418 Å. Structure: a DFT-relaxed cell (GGA-PBE, Alexandria).
No peak broadening, texture or thermal motion is included.

Most intense lines, 10° ≤ 2θ ≤ 90°, low angle first:
(hkl)  two_theta  I/Imax
0 0 1  10.95  71
1 1 0  19.06  49
1 1 1  22.04  76
1 1 2  29.27  42
0 4 0  44.73  203
2 2 2  44.94  1000
0 4 4  65.23  121
4 0 0  65.67  59
2 6 2  82.61  119
2 2 6  82.83  118
4 4 0  82.97  59
4 0 4  83.08  59

abc: 5.6869 8.1048 8.0780
angles: 90.00 90.00 90.00
Space group Cmmm (No. 65)
Unique sites:
Mn  0.0000  0.0000  0.0000
Fe  0.0000  0.0000  0.5000
Fe  0.0000  0.2504  0.2517
Fe  0.0000  0.5000  0.5000
Fe  0.2460  0.0000  0.2530
Fe  0.2500  0.2500  0.0000
Fe  0.2500  0.2500  0.5000
Os  0.0000  0.5000  0.0000

This entry pairs a crystal structure of Dy2Al9Rh3 with its computed powder XRD pattern. Radiation: a wavelength of 1.5418 Å. Structure: a DFT-relaxed cell (GGA-PBE, Alexandria).
No peak broadening, texture or thermal motion is included.

Most intense lines, 10° ≤ 2θ ≤ 90°, low angle first:
(hkl)  two_theta  I/Imax
1 1 1  16.41  307
3 1 1  25.42  553
0 2 2  30.11  499
3 1 2  30.29  1000
0 2 3  36.98  341
3 1 3  37.12  689
0 0 4  37.97  453
3 3 0  41.21  911
6 0 0  41.61  432
6 2 2  52.21  288
3 3 4  57.27  410
0 2 6  63.86  305

abc: 13.0225 7.6126 9.4785
angles: 90.00 90.00 90.00
Space group Cmcm (No. 63)
Unique sites:
Dy  0.1616  0.1664  0.2500
Al  0.0000  0.1286  0.7500
Al  0.0000  0.3330  0.0500
Al  0.1052  0.4452  0.7500
Al  0.1673  0.1683  0.5752
Rh  0.0000  0.0000  0.0000
Rh  0.1720  0.5000  0.0000

This entry pairs a crystal structure of Mg4H3Ir3 with its computed powder XRD pattern. Radiation: a wavelength of 1.5418 Å. Structure: a DFT-relaxed cell (GGA-PBE, Alexandria).
No peak broadening, texture or thermal motion is included.

Most intense lines, 10° ≤ 2θ ≤ 90°, low angle first:
(hkl)  two_theta  I/Imax
0 0 1  15.53  402
1 1 0  18.65  970
0 2 0  23.31  1000
2 0 0  29.35  285
1 1 -2  35.92  349
1 1 2  37.52  787
2 2 0  37.81  517
0 2 2  39.44  419
2 0 -2  42.07  357
3 1 0  46.30  367
2 2 -2  48.65  283
1 3 2  50.96  279

abc: 6.0985 7.6313 5.7162
angles: 90.00 93.49 90.00
Space group Cm (No. 8)
Unique sites:
Mg  0.0000  0.2010  0.0000
Mg  0.1184  0.2964  0.5197
H  0.1341  0.0000  0.5598
H  0.2893  0.5000  0.8791
H  0.4473  0.5000  0.2652
Ir  0.1751  0.5000  0.1344
Ir  0.2740  0.0000  0.2858
Ir  0.3262  0.0000  0.7945

This entry pairs a crystal structure of TlV5Se8 with its computed powder XRD pattern. Radiation: a wavelength of 1.5418 Å. Structure: a DFT-relaxed cell (GGA-PBE, Alexandria).
No peak broadening, texture or thermal motion is included.

Most intense lines, 10° ≤ 2θ ≤ 90°, low angle first:
(hkl)  two_theta  I/Imax
0 0 3  29.74  439
6 0 -2  32.17  497
3 1 1  32.54  1000
6 0 1  33.84  353
3 1 -2  33.99  647
3 1 -3  39.98  669
3 1 3  45.08  306
9 1 -1  52.19  443
0 2 0  52.74  244
3 1 4  53.57  183
3 1 -5  56.49  177
0 0 6  61.72  215

abc: 18.2765 3.4712 9.2538
angles: 90.00 102.97 90.00
Space group C2/m (No. 12)
Unique sites:
Tl  0.0000  0.0000  0.0000
V  0.0000  0.5000  0.5000
V  0.1447  0.0000  0.4953
V  0.2065  0.0000  0.8308
Se  0.0693  0.0000  0.6795
Se  0.0867  0.5000  0.3183
Se  0.1654  0.5000  0.9965
Se  0.2399  0.5000  0.6475